[1]
Calculated powder diffractogram of ZnPtCl5 for Cu Kα X-rays, from a structure optimized by DFT (GGA-PBE).

```
data_ZnPtCl5
_chemical_formula_sum 'Zn4 Pt4 Cl20'
_symmetry_space_group_name_H-M 'C 1 2/c 1'
_symmetry_Int_Tables_number 15
_cell_length_a 9.4559
_cell_length_b 8.4969
_cell_length_c 9.3869
_cell_angle_alpha 90.00
_cell_angle_beta 112.59
_cell_angle_gamma 90.00
loop_
_symmetry_equiv_pos_as_xyz
'x,y,z'
'-x,-y,-z'
'-x,y,-z+1/2'
'x,-y,z+1/2'
'x+1/2,y+1/2,z'
'-x+1/2,-y+1/2,-z'
'-x+1/2,y+1/2,-z+1/2'
'x+1/2,-y+1/2,z+1/2'
loop_
_atom_site_label
_atom_site_type_symbol
_atom_site_fract_x
_atom_site_fract_y
_atom_site_fract_z
Zn1 Zn 0.0000 0.0515 0.2500
Pt1 Pt 0.2500 0.2500 0.0000
Cl1 Cl 0.0000 0.2380 0.7500
Cl2 Cl 0.1032 0.2711 0.1509
Cl3 Cl 0.2200 0.0228 0.4872
```

Top 10 peaks for 10° ≤ 2θ ≤ 90°, in order of rising 2θ:
- 2θ = 14.5°, I 22, (1 1 0)
- 2θ = 15.4°, I 92, (1 1 -1)
- 2θ = 19.9°, I 100, (1 1 1)
- 2θ = 20.9°, I 23, (0 2 0)
- 2θ = 22.7°, I 62, (2 0 -2)
- 2θ = 33.6°, I 41, (1 3 -1)
- 2θ = 34.3°, I 41, (2 0 2)
- 2θ = 36.0°, I 24, (3 1 -3)
- 2θ = 47.3°, I 23, (3 3 -3)
- 2θ = 48.8°, I 24, (3 3 1)

=====

[2]
Calculated powder diffractogram of Pm2Nd12Er5 for Cu Kα X-rays, from a structure optimized by DFT (GGA-PBE).

```
data_Pm2Nd12Er5
_chemical_formula_sum 'Pm4 Nd24 Er10'
_symmetry_space_group_name_H-M 'C 1 2/m 1'
_symmetry_Int_Tables_number 12
_cell_length_a 18.0535
_cell_length_b 11.7491
_cell_length_c 6.2452
_cell_angle_alpha 90.00
_cell_angle_beta 102.51
_cell_angle_gamma 90.00
loop_
_symmetry_equiv_pos_as_xyz
'x,y,z'
'-x,-y,-z'
'-x,y,-z'
'x,-y,z'
'x+1/2,y+1/2,z'
'-x+1/2,-y+1/2,-z'
'-x+1/2,y+1/2,-z'
'x+1/2,-y+1/2,z'
loop_
_atom_site_label
_atom_site_type_symbol
_atom_site_fract_x
_atom_site_fract_y
_atom_site_fract_z
Pm1 Pm 0.0000 0.2274 0.0000
Nd1 Nd 0.0570 0.5000 0.2735
Nd2 Nd 0.1043 0.2485 0.6153
Nd3 Nd 0.1221 0.0000 0.9986
Nd4 Nd 0.1979 0.2596 0.1996
Er1 Er 0.0000 0.0000 0.5000
Er2 Er 0.1782 0.5000 0.8582
Er3 Er 0.2145 0.0000 0.5497
```

Top 10 peaks for 10° ≤ 2θ ≤ 90°, in order of rising 2θ:
- 2θ = 27.4°, I 33, (5 1 -1)
- 2θ = 29.6°, I 25, (1 1 -2)
- 2θ = 30.4°, I 57, (0 4 0)
- 2θ = 30.8°, I 17, (6 0 -1)
- 2θ = 31.4°, I 100, (4 2 1)
- 2θ = 32.7°, I 43, (2 2 -2)
- 2θ = 34.5°, I 18, (6 2 -1)
- 2θ = 35.0°, I 21, (5 3 -1)
- 2θ = 47.1°, I 13, (9 1 0)
- 2θ = 54.7°, I 19, (4 6 1)

=====

[3]
Calculated powder diffractogram of Li2CaAlGe2 for Cu Kα X-rays, from a structure optimized by DFT (GGA-PBE).

```
data_Li2CaAlGe2
_chemical_formula_sum 'Li4 Ca2 Al2 Ge4'
_symmetry_space_group_name_H-M 'P m c 21'
_symmetry_Int_Tables_number 26
_cell_length_a 4.2365
_cell_length_b 7.8046
_cell_length_c 7.2052
_cell_angle_alpha 90.00
_cell_angle_beta 90.00
_cell_angle_gamma 90.00
loop_
_symmetry_equiv_pos_as_xyz
'x,y,z'
'-x,-y,z+1/2'
'-x,y,z'
'x,-y,z+1/2'
loop_
_atom_site_label
_atom_site_type_symbol
_atom_site_fract_x
_atom_site_fract_y
_atom_site_fract_z
Li1 Li 0.0000 0.0708 0.0000
Li2 Li 0.5000 0.1801 0.3192
Ca1 Ca 0.5000 0.4222 0.9529
Al1 Al 0.0000 0.3068 0.6079
Ge1 Ge 0.0000 0.3713 0.2444
Ge2 Ge 0.5000 0.1245 0.6820
```

Top 10 peaks for 10° ≤ 2θ ≤ 90°, in order of rising 2θ:
- 2θ = 11.3°, I 30, (0 1 0)
- 2θ = 23.9°, I 36, (1 1 0)
- 2θ = 24.7°, I 31, (0 0 2)
- 2θ = 26.0°, I 88, (0 2 1)
- 2θ = 27.0°, I 76, (1 1 1)
- 2θ = 33.6°, I 36, (1 2 1)
- 2θ = 34.6°, I 100, (1 1 2)
- 2θ = 40.7°, I 33, (1 3 0)
- 2θ = 42.7°, I 76, (2 0 0)
- 2θ = 50.7°, I 34, (2 2 1)

=====

[4]
Calculated powder diffractogram of TlZn2In for Cu Kα X-rays, from a structure optimized by DFT (GGA-PBE).

```
data_TlZn2In
_chemical_formula_sum 'Tl3 Zn6 In3'
_symmetry_space_group_name_H-M 'R 3 m'
_symmetry_Int_Tables_number 160
_symmetry_space_group_name_Hall 'R 3 -2"'
_cell_length_a 4.0889
_cell_length_b 4.0889
_cell_length_c 20.3434
_cell_angle_alpha 90.00
_cell_angle_beta 90.00
_cell_angle_gamma 120.00
loop_
_atom_site_label
_atom_site_type_symbol
_atom_site_fract_x
_atom_site_fract_y
_atom_site_fract_z
Tl1 Tl 0.0000 0.0000 0.0000
Zn1 Zn 0.0000 0.0000 0.5824
Zn2 Zn 0.0000 0.0000 0.7558
In1 In 0.0000 0.0000 0.1709
```

Top 10 peaks for 10° ≤ 2θ ≤ 90°, in order of rising 2θ:
- 2θ = 25.5°, I 48, (1 0 1)
- 2θ = 26.7°, I 39, (0 1 2)
- 2θ = 30.8°, I 29, (1 0 4)
- 2θ = 33.6°, I 100, (0 1 5)
- 2θ = 40.1°, I 48, (1 0 7)
- 2θ = 44.3°, I 61, (1 1 0)
- 2θ = 51.8°, I 18, (1 0 10)
- 2θ = 56.7°, I 22, (2 0 5)
- 2θ = 72.4°, I 27, (1 1 12)
- 2θ = 74.7°, I 19, (1 2 5)